(1)
This entry pairs a crystal structure of SrNb2CuO6F with its theoretical XRD peak list. Radiation: Cu Kα (λ = 1.5418 Å). Structure: DFT lattice parameters and positions (GGA-PBE).

Main lines, low angle first (2θ = 10–90°):
d [Å]	Position (°2θ)	I (rel.)
3.795	23.4	31
3.369	26.5	100
2.824	31.7	52
2.729	32.8	22
2.588	34.7	28
2.141	42.2	21
1.930	47.1	42
1.675	54.8	25
1.593	57.9	19
1.547	59.8	22

Structure:
abc: 10.708 10.708 10.708
angles: 159.23 159.23 29.54
Fractional positions:
Sr  0.000  0.000  0.000
Nb  0.381  0.381  0.000
Nb  0.619  0.619  0.000
Cu  0.750  0.250  0.500
O  0.093  0.593  0.500
O  0.292  0.292  0.000
O  0.407  0.907  0.500
O  0.592  0.092  0.500
O  0.708  0.708  0.000
O  0.908  0.408  0.500
F  0.500  0.500  0.000

=====

(2)
This entry pairs a crystal structure of RbCaBr3 with its theoretical XRD peak list. Radiation: Cu Kα (λ = 1.5418 Å). Structure: DFT lattice parameters and positions (GGA-PBE).

Main lines, low angle first (2θ = 10–90°):
d [Å]	Position (°2θ)	I (rel.)
3.312	26.9	100
2.868	31.2	85
2.028	44.7	61
1.730	52.9	45
1.656	55.5	21
1.434	65.0	10
1.316	71.7	18
1.283	73.9	27
1.171	82.3	20
1.104	88.6	15

Structure:
abc: 5.737 5.737 5.737
angles: 90.00 90.00 90.00
Fractional positions:
Rb  0.000  0.000  0.000
Ca  0.500  0.500  0.500
Br  0.000  0.500  0.500
Br  0.500  0.000  0.500
Br  0.500  0.500  0.000